(1)
Simulated powder X-ray diffraction pattern of Nd2Y2HoTm for a wavelength of 1.5418 Å, from DFT lattice parameters and positions (GGA-PBE).
Intensities are scaled so that the largest is 100.

Structural model:
```
Nd2Y2HoTm
1.0
7.064 0.000 0.000
0.000 5.662 0.000
0.000 0.000 9.786
Nd Y Ho Tm
4 4 2 2
Cartesian
1.766 0.000 1.453
1.766 2.831 6.688
5.298 0.000 8.334
5.298 2.831 3.099
0.000 0.000 4.893
1.766 2.831 3.368
3.532 0.000 4.893
5.298 2.831 6.419
1.766 0.000 8.027
5.298 0.000 1.760
0.000 2.831 0.000
3.532 2.831 0.000
```

Main lines, in order of rising 2θ (2θ = 10–90°):
two_theta	intensity
31.22	93.2
31.64	100.0
40.88	11.6
45.04	32.9
51.77	8.6
56.09	33.3
56.35	17.9
61.95	28.9
74.86	10.0
80.04	12.9



(2)
Simulated powder X-ray diffraction pattern of HoZn6Ag4 for a wavelength of 1.5418 Å, from DFT lattice parameters and positions (GGA-PBE).
Intensities are scaled so that the largest is 100.

Structural model:
```
HoZn6Ag4
1.0
7.409 0.000 0.000
-3.705 6.417 0.000
0.000 0.000 4.200
Ho Zn Ag
1 6 4
Cartesian
0.000 0.000 0.000
0.000 2.636 2.100
-1.422 5.099 2.100
3.705 0.495 0.000
2.281 2.961 0.000
1.422 5.099 2.100
5.128 2.961 0.000
0.000 4.278 0.000
2.188 1.263 2.100
5.222 1.263 2.100
3.705 3.890 2.100
```

Main lines, in order of rising 2θ (2θ = 10–90°):
two_theta	intensity
32.22	59.4
35.20	100.0
37.07	51.7
43.07	84.3
47.72	35.0
49.19	30.8
56.13	15.8
58.10	27.0
67.41	30.3
73.85	18.3



(3)
Simulated powder X-ray diffraction pattern of Ca2Co2P2C for a wavelength of 1.5418 Å, from DFT lattice parameters and positions (GGA-PBE).
Intensities are scaled so that the largest is 100.

Structural model:
```
Ca2Co2P2C
1.0
5.309 -1.898 0.000
5.309 1.898 0.000
-3.933 0.000 5.437
Ca Co P C
2 2 2 1
Cartesian
-0.571 0.000 1.697
7.256 0.000 3.741
-0.336 0.000 5.055
7.021 0.000 0.382
2.309 0.000 1.451
4.376 0.000 3.986
5.309 0.000 0.000
```

Main lines, in order of rising 2θ (2θ = 10–90°):
two_theta	intensity
16.30	76.2
33.28	31.7
33.75	46.5
34.70	82.0
34.86	36.2
36.85	100.0
39.38	82.9
42.39	35.2
47.92	45.6
58.93	25.8



(4)
Simulated powder X-ray diffraction pattern of NiRu3 for a wavelength of 1.5418 Å, from DFT lattice parameters and positions (GGA-PBE).
Intensities are scaled so that the largest is 100.

Structural model:
```
NiRu3
1.0
-1.359 4.236 2.309
1.359 -4.236 2.309
1.359 4.236 -2.309
Ni Ru
1 3
Cartesian
0.000 0.000 0.000
1.359 2.104 -0.752
1.359 0.000 2.288
0.000 2.132 1.558
```

Main lines, in order of rising 2θ (2θ = 10–90°):
two_theta	intensity
38.43	23.3
39.00	13.7
42.69	35.9
44.18	100.0
44.69	44.9
58.78	13.0
70.27	15.5
79.21	17.0
85.83	18.1
86.14	12.9



(5)
Simulated powder X-ray diffraction pattern of AlCu2Au7 for a wavelength of 1.5418 Å, from DFT lattice parameters and positions (GGA-PBE).
Intensities are scaled so that the largest is 100.

Structural model:
```
AlCu2Au7
1.0
4.407 0.000 0.000
-2.203 3.816 0.000
0.000 0.000 10.694
Al Cu Au
1 2 7
Cartesian
0.000 0.000 0.000
0.000 2.544 6.971
2.203 1.272 3.448
0.000 0.000 2.636
0.000 0.000 7.443
0.000 2.544 4.269
0.000 2.544 10.061
2.203 1.272 0.918
2.203 1.272 5.951
2.203 1.272 8.754
```

Main lines, in order of rising 2θ (2θ = 10–90°):
two_theta	intensity
28.74	74.4
34.43	27.0
40.96	100.0
41.23	83.6
50.80	16.1
59.52	28.4
67.22	14.2
74.61	17.4
74.79	29.4
75.77	15.0



(6)
Simulated powder X-ray diffraction pattern of Ac3TbS6 for a wavelength of 1.5418 Å, from DFT lattice parameters and positions (GGA-PBE).
Intensities are scaled so that the largest is 100.

Structural model:
```
Ac3TbS6
1.0
6.174 3.564 4.776
-6.174 3.564 4.776
0.000 -7.129 4.776
Ac Tb S
6 2 12
Cartesian
-3.135 -3.066 6.669
-4.223 1.182 7.661
1.088 -4.248 7.661
-1.088 4.248 6.669
4.223 -1.182 6.669
3.135 3.066 7.661
0.000 0.000 0.000
0.000 0.000 7.165
-5.385 -1.546 7.875
-1.354 -5.437 6.455
-2.390 -0.280 5.762
-4.031 3.891 6.455
-0.953 -2.209 8.568
1.437 -1.930 5.762
-1.437 1.930 8.568
0.953 2.209 5.762
4.031 -3.891 7.875
2.390 0.280 8.568
1.354 5.437 7.875
5.385 1.546 6.455
```

Main lines, in order of rising 2θ (2θ = 10–90°):
two_theta	intensity
18.58	44.3
20.73	19.6
22.86	100.0
23.55	36.0
25.30	61.4
32.68	30.0
33.42	47.9
38.57	47.1
40.50	22.6
43.15	21.2



(7)
Simulated powder X-ray diffraction pattern of Al10V for a wavelength of 1.5418 Å, from DFT lattice parameters and positions (GGA-PBE).
Intensities are scaled so that the largest is 100.

Structural model:
```
Al10V
1.0
0.000 7.227 7.227
7.227 0.000 7.227
7.227 7.227 0.000
Al V
40 4
Cartesian
0.000 0.000 0.000
3.613 3.613 0.000
3.613 0.000 3.613
4.661 2.748 2.748
8.092 6.179 2.748
8.092 2.748 6.179
9.792 6.361 6.361
11.705 8.274 6.361
11.705 6.361 8.274
5.420 5.420 3.392
5.420 3.392 5.420
7.447 5.420 5.420
2.748 4.661 2.748
6.179 8.092 2.748
2.748 2.748 4.661
8.092 8.092 4.661
6.179 2.748 8.092
8.092 4.661 8.092
9.033 9.033 7.006
9.033 7.006 9.033
11.061 9.033 9.033
0.000 3.613 3.613
3.392 5.420 5.420
5.420 7.447 5.420
5.420 5.420 7.447
6.361 9.792 6.361
8.274 11.705 6.361
6.361 6.361 9.792
11.705 11.705 9.792
8.274 6.361 11.705
11.705 9.792 11.705
7.006 9.033 9.033
9.033 11.061 9.033
9.033 9.033 11.061
2.748 8.092 6.179
2.748 6.179 8.092
4.661 8.092 8.092
6.361 11.705 8.274
6.361 8.274 11.705
9.792 11.705 11.705
7.227 3.613 3.613
3.613 7.227 3.613
3.613 3.613 7.227
7.227 7.227 7.227
```

Main lines, in order of rising 2θ (2θ = 10–90°):
two_theta	intensity
10.60	69.3
36.79	30.3
39.43	20.0
40.95	60.9
41.44	100.0
43.38	37.3
44.78	54.8
67.33	25.6
74.24	39.8
77.93	15.9



(8)
Simulated powder X-ray diffraction pattern of Ni5PdSe12 for a wavelength of 1.5418 Å, from DFT lattice parameters and positions (GGA-PBE).
Intensities are scaled so that the largest is 100.

Structural model:
```
Ni5PdSe12
1.0
3.141 -5.434 0.000
3.141 5.434 0.000
-0.356 0.000 10.370
Ni Pd Se
5 1 12
Cartesian
0.000 0.000 0.000
2.962 3.618 5.185
3.141 1.810 0.000
3.141 -1.810 0.000
2.962 -3.618 5.185
2.962 0.000 5.185
1.064 1.810 1.206
0.782 0.000 3.929
1.843 1.894 6.445
1.716 0.000 9.166
1.064 -1.810 1.206
4.081 1.894 3.925
1.843 -1.894 6.445
4.861 1.810 9.164
4.209 0.000 1.204
4.081 -1.894 3.925
5.143 0.000 6.441
4.861 -1.810 9.164
```

Main lines, in order of rising 2θ (2θ = 10–90°):
two_theta	intensity
17.10	87.1
30.03	34.7
33.12	100.0
33.64	73.4
38.41	39.3
39.10	47.1
44.56	26.2
50.38	36.1
50.90	53.3
51.45	38.3



(9)
Simulated powder X-ray diffraction pattern of Ag3IrF6 for a wavelength of 1.5418 Å, from DFT lattice parameters and positions (GGA-PBE).
Intensities are scaled so that the largest is 100.

Structural model:
```
Ag3IrF6
1.0
6.100 0.000 0.000
0.000 5.959 0.000
-5.673 0.000 8.449
Ag Ir F
6 2 12
Cartesian
0.000 0.000 0.000
-2.836 2.979 4.224
-2.877 0.426 6.215
-0.041 2.553 1.990
0.468 3.406 6.458
3.304 5.532 2.234
0.213 0.000 4.224
3.050 2.979 0.000
-1.466 1.028 3.688
-4.302 1.952 7.913
-0.822 4.335 3.561
-3.659 4.604 7.786
0.961 0.257 2.346
-1.876 2.723 6.570
2.302 3.236 1.878
-0.534 5.702 6.103
4.086 1.355 0.663
1.249 1.624 4.888
4.729 4.007 0.536
1.892 4.931 4.760
```

Main lines, in order of rising 2θ (2θ = 10–90°):
two_theta	intensity
18.22	12.4
20.85	10.2
29.27	100.0
29.99	25.2
30.32	64.6
42.44	24.7
42.81	15.2
51.27	17.3
53.15	12.7
53.30	15.1